Structure and calculated X-ray powder pattern of LiTaTlIr (a crystal structure in OQMD, relaxed with GGA-PBE; Cu Kα (λ = 1.5418 Å)).
Intensities are scaled so that the largest is 100.

Main lines, by angle (15° ≤ 2θ ≤ 90°):
24.07 deg, I 26; 27.86 deg, I 13; 39.81 deg, I 100; 47.06 deg, I 13; 57.56 deg, I 17; 72.26 deg, I 35

Structural model:
```
4
Lattice="0.000 3.202 3.202 3.202 0.000 3.202 3.202 3.202 0.000" Properties=species:S:1:pos:R:3 pbc="T T T"
Li 0.000 0.000 0.000
Ta 4.804 4.804 4.804
Tl 1.601 1.601 1.601
Ir 3.202 3.202 3.202
```


Structure and calculated X-ray powder pattern of LiZn2Ir (a crystal structure in OQMD, relaxed with GGA-PBE; Cu Kα (λ = 1.5418 Å)).
Intensities are scaled so that the largest is 100.

Main lines, by angle (15° ≤ 2θ ≤ 90°):
20.81 deg, I 92; 36.64 deg, I 45; 42.38 deg, I 100; 42.60 deg, I 49; 77.36 deg, I 17; 77.76 deg, I 16

Structural model:
```
8
Lattice="-2.996 3.032 3.006 2.996 -3.032 3.006 2.996 3.032 -3.006" Properties=species:S:1:pos:R:3 pbc="T T T"
Li 0.000 1.516 1.497
Li 2.996 1.516 1.509
Zn 1.502 0.000 0.000
Zn 4.491 0.000 0.000
Zn 1.502 3.032 0.000
Zn 1.494 0.000 3.006
Ir 2.996 -1.516 1.506
Ir 0.000 4.548 1.499
```


Structure and calculated X-ray powder pattern of LuIr (a crystal structure in OQMD, relaxed with GGA-PBE; Cu Kα (λ = 1.5418 Å)).
Intensities are scaled so that the largest is 100.

Main lines, by angle (15° ≤ 2θ ≤ 90°):
38.05 deg, I 100; 54.90 deg, I 18; 68.75 deg, I 36; 81.37 deg, I 11

Structural model:
```
2
Lattice="3.345 0.000 0.000 0.000 3.345 0.000 0.000 0.000 3.345" Properties=species:S:1:pos:R:3 pbc="T T T"
Lu 0.000 0.000 0.000
Ir 1.672 1.672 1.672
```